Structure and calculated powder diffractogram of SiP4H8 (the GGA-PBE geometry in Alexandria; CuKα).
Peak positions follow from Bragg's law for the DFT cell and can differ from measured ones.

Main lines, by intensity (10 to 90 degrees two-theta):
| 2θ/deg | d/Å | I/Imax |
| --- | --- | --- |
| 24.45 | 3.640 | 100 |
| 27.40 | 3.255 | 67 |
| 28.02 | 3.184 | 63 |
| 27.63 | 3.229 | 62 |
| 16.88 | 5.253 | 59 |
| 25.70 | 3.466 | 58 |

Cell and atoms:
```
SiP4H8
1.0
10.718 0.000 0.000
0.000 7.297 0.000
-2.077 0.000 10.850
Si P H
4 16 32
Cartesian
1.860 0.495 3.841
0.821 3.154 9.266
7.820 4.144 1.584
6.781 6.802 7.009
0.381 0.307 2.132
-0.658 3.341 7.557
1.956 4.106 0.248
0.917 6.839 5.673
1.244 0.990 9.833
2.282 2.659 4.408
2.778 4.192 8.751
3.817 6.754 3.326
4.824 0.543 7.525
5.863 3.105 2.100
6.359 4.638 6.442
7.397 6.307 1.017
7.724 0.458 5.177
6.685 3.191 10.602
9.299 3.956 3.293
8.260 6.990 8.718
-0.498 4.888 2.714
-1.537 6.058 8.139
1.031 1.308 1.341
-0.008 2.341 6.767
-0.014 5.438 10.582
1.024 5.508 5.157
3.221 4.179 0.915
2.183 6.767 6.340
2.007 0.748 8.646
3.045 2.901 3.221
2.145 5.399 8.318
3.183 5.546 2.892
2.838 3.659 7.424
3.877 7.287 1.998
2.409 1.329 10.596
3.448 2.319 5.171
5.193 4.978 5.680
6.232 5.968 0.255
4.764 0.010 8.852
5.803 3.638 3.427
5.458 1.751 7.958
6.496 1.898 2.533
5.596 4.396 7.630
6.634 6.549 2.204
6.458 0.530 4.510
5.420 3.118 9.935
7.617 1.790 5.693
8.655 1.859 0.268
8.649 4.956 4.084
7.610 5.989 9.509
10.178 1.239 2.711
9.139 2.409 8.136
```